For Li6SiGe2, a DFT-relaxed cell (PBE, Alexandria) gives the simulated powder XRD pattern in this record (Cu Kα X-rays).

Crystal structure
```
data_Li6SiGe2
_cell_length_a 13.1194
_cell_length_b 7.5968
_cell_length_c 2.6315
_cell_angle_alpha 90.00
_cell_angle_beta 90.86
_cell_angle_gamma 90.00
_space_group_name_H-M_alt 'C 1 2/m 1'
_space_group_IT_number 12
_space_group_name_Hall '-C 2y'
loop_
_atom_site_label
_atom_site_type_symbol
_atom_site_fract_x
_atom_site_fract_y
_atom_site_fract_z
_atom_site_occupancy
Li1 Li 0.0000 0.1690 0.0000 1
Li2 Li 0.1653 0.3351 0.0010 1
Si1 Si 0.0000 0.5000 0.5000 1
Ge1 Ge 0.1667 0.0000 0.4995 1
```

Top 10 peaks for 2θ = 10–90°, low angle first:
- 13.48 deg, 6.569 Å, I 25
- 23.46 deg, 3.793 Å, I 100
- 34.07 deg, 2.631 Å, I 10
- 41.23 deg, 2.190 Å, I 36
- 41.53 deg, 2.175 Å, I 20
- 41.76 deg, 2.163 Å, I 20
- 42.06 deg, 2.148 Å, I 20
- 48.01 deg, 1.895 Å, I 9
- 65.02 deg, 1.434 Å, I 7
- 75.19 deg, 1.264 Å, I 7